Diffraction record for LiNiP3O9. The powder diffractogram is calculated, not measured: it uses the PBE+U geometry in Alexandria and Cu Kα (weighted mean of Kα1 and Kα2).

Top 10 peaks for 2θ = 10–80°, in order of falling intensity:
2θ (°), Rel. int., hkl
16.2, 1000, 1 0 1
17.6, 480, 1 1 0
29.9, 314, 2 1 1
32.8, 240, 2 0 2
39.3, 138, 1 3 1
45.5, 105, 3 1 2
42.7, 78, 1 1 3
24.0, 77, 0 2 1
30.7, 76, 3 0 0
50.1, 76, 0 3 3

Structure:
a b c (Å): 10.0928 10.0928 6.9985
angles (deg): 90.00 90.00 120.00
Space group R3 (No. 146, hexagonal axes)
Unique sites:
Li (0.0000, 0.0000, 0.0000) x3
Ni (0.0000, 0.0000, 0.3697) x3
P (0.1055, 0.7642, 0.2147) x9
O (0.0541, 0.7047, 0.4297) x9
O (0.0713, 0.8901, 0.1696) x9
O (0.1945, 0.0687, 0.5233) x9